Entry 1:
The following is a calculated powder X-ray diffraction pattern of Co2Ge3S3. It was derived from a cell relaxed with GGA-PBE, using Cu Kα X-rays.
Kinematic intensities with the Lorentz-polarization factor, no thermal factor.

Atomic structure:
```
Co2Ge3S3
1.0
5.822 -3.955 0.000
5.822 3.955 0.000
-5.150 0.000 5.891
Co Ge S
4 6 6
Direct
0.000 0.500 0.000
0.000 0.500 0.500
0.500 0.000 0.000
0.500 0.000 0.500
0.157 0.839 0.659
0.161 0.843 0.341
0.354 0.354 0.703
0.646 0.646 0.297
0.839 0.157 0.659
0.843 0.161 0.341
0.059 0.336 0.203
0.336 0.059 0.203
0.353 0.353 0.012
0.647 0.647 0.988
0.664 0.941 0.797
0.941 0.664 0.797
```

Principal peaks in the range 10 to 90 degrees two-theta, by intensity:
| 2θ/deg | intensity |
| --- | --- |
| 35.6 | 100 |
| 36.3 | 90 |
| 22.7 | 76 |
| 47.4 | 63 |
| 32.5 | 52 |
| 32.7 | 50 |
| 15.9 | 48 |
| 41.5 | 39 |
| 32.9 | 35 |
| 26.0 | 34 |

---

Entry 2:
The following is a calculated powder X-ray diffraction pattern of NdFe4Sb12. It was derived from a cell relaxed with GGA-PBE, using Cu Kα X-rays.
Kinematic intensities with the Lorentz-polarization factor, no thermal factor.

Atomic structure:
```
NdFe4Sb12
1.0
-4.591 4.591 4.591
4.591 -4.591 4.591
4.591 4.591 -4.591
Nd Fe Sb
1 4 12
Direct
0.000 0.000 0.000
0.000 0.000 0.500
0.000 0.500 0.000
0.500 0.000 0.000
0.500 0.500 0.500
0.163 0.497 0.334
0.163 0.828 0.666
0.172 0.334 0.837
0.334 0.163 0.497
0.334 0.837 0.172
0.497 0.334 0.163
0.503 0.666 0.837
0.666 0.163 0.828
0.666 0.837 0.503
0.828 0.666 0.163
0.837 0.172 0.334
0.837 0.503 0.666
```

Principal peaks in the range 10 to 90 degrees two-theta, by intensity:
| 2θ/deg | intensity |
| --- | --- |
| 30.8 | 100 |
| 36.6 | 51 |
| 50.7 | 22 |
| 48.6 | 22 |
| 69.4 | 18 |
| 58.6 | 17 |
| 60.5 | 12 |
| 44.1 | 11 |
| 89.2 | 9 |
| 62.3 | 9 |

---

Entry 3:
The following is a calculated powder X-ray diffraction pattern of Na3GePCO7. It was derived from a cell relaxed with GGA-PBE, using Cu Kα X-rays.
Kinematic intensities with the Lorentz-polarization factor, no thermal factor.

Atomic structure:
```
Na3GePCO7
1.0
5.487 0.000 0.000
0.000 6.884 0.000
-0.878 0.000 9.217
Na Ge P C O
6 2 2 2 14
Direct
0.001 0.000 0.015
0.485 0.288 0.158
0.485 0.504 0.500
0.515 0.004 0.500
0.515 0.788 0.842
0.999 0.500 0.985
0.081 0.225 0.673
0.919 0.725 0.327
0.014 0.722 0.670
0.986 0.222 0.330
0.486 0.239 0.863
0.514 0.739 0.137
0.046 0.501 0.715
0.081 0.324 0.200
0.188 0.240 0.463
0.262 0.795 0.626
0.288 0.215 0.928
0.304 0.750 0.067
0.456 0.252 0.718
0.544 0.752 0.282
0.696 0.250 0.933
0.712 0.715 0.072
0.738 0.295 0.374
0.812 0.740 0.537
0.919 0.824 0.800
0.954 0.001 0.285
```

Principal peaks in the range 10 to 90 degrees two-theta, by intensity:
| 2θ/deg | intensity |
| --- | --- |
| 31.8 | 100 |
| 25.9 | 98 |
| 32.8 | 62 |
| 16.2 | 59 |
| 32.0 | 55 |
| 18.1 | 49 |
| 26.5 | 40 |
| 34.8 | 39 |
| 48.2 | 36 |
| 41.3 | 33 |